# 1
This entry pairs a crystal structure of AcCe2TiO8 with its simulated powder diffraction line list. Radiation: Cu Kα, 1.54184 Å. Structure: a DFT-relaxed cell (PBE, Alexandria).
Neutral-atom scattering factors, no anomalous dispersion.

Structure:
```
data_AcCe2TiO8
_chemical_formula_sum 'Ac1 Ce2 Ti1 O8'
_cell_length_a 4.386
_cell_length_b 5.372
_cell_length_c 7.285
_cell_angle_alpha 94.19
_cell_angle_beta 92.64
_cell_angle_gamma 90.45
_symmetry_space_group_name_H-M 'P -1'
_symmetry_Int_Tables_number 2
_symmetry_space_group_name_Hall '-P 1'
loop_
_atom_site_label
_atom_site_type_symbol
_atom_site_fract_x
_atom_site_fract_y
_atom_site_fract_z
_atom_site_occupancy
Ac1 Ac 0.000 0.000 0.000 1
Ce1 Ce 0.455 0.469 0.741 1
Ti1 Ti 0.000 0.000 0.500 1
O1 O 0.076 0.745 0.285 1
O2 O 0.136 0.783 0.693 1
O3 O 0.359 0.231 0.478 1
O4 O 0.463 0.265 0.001 1
```

Most intense lines, 5° ≤ 2θ ≤ 70°, by intensity:
- (1 -1 0), 2θ 26.1, I = 100
- (1 1 0), 2θ 26.4, I = 92
- (0 1 -2), 2θ 28.7, I = 74
- (0 1 2), 2θ 30.8, I = 67
- (1 0 -2), 2θ 31.3, I = 43
- (-1 2 2), 2θ 47.6, I = 36
- (1 0 2), 2θ 32.8, I = 34
- (0 0 1), 2θ 12.2, I = 32
- (1 -2 2), 2θ 45.9, I = 30
- (2 0 0), 2θ 41.2, I = 29
- (0 1 1), 2θ 21.3, I = 28
- (0 2 0), 2θ 33.4, I = 28



# 2
This entry pairs a crystal structure of Nd2Tm3Pt4 with its simulated powder diffraction line list. Radiation: Cu Kα, 1.54184 Å. Structure: a DFT-relaxed cell (PBE, Alexandria).
Neutral-atom scattering factors, no anomalous dispersion.

Structure:
```
data_Nd2Tm3Pt4
_chemical_formula_sum 'Nd4 Tm6 Pt8'
_cell_length_a 7.605
_cell_length_b 7.644
_cell_length_c 7.750
_cell_angle_alpha 90.00
_cell_angle_beta 109.66
_cell_angle_gamma 90.00
_symmetry_space_group_name_H-M 'P 1 21/c 1'
_symmetry_Int_Tables_number 14
_symmetry_space_group_name_Hall '-P 2ybc'
loop_
_atom_site_label
_atom_site_type_symbol
_atom_site_fract_x
_atom_site_fract_y
_atom_site_fract_z
_atom_site_occupancy
Nd1 Nd 0.195 0.177 0.078 1
Tm1 Tm 0.246 0.663 0.248 1
Tm2 Tm 0.500 0.000 0.500 1
Pt1 Pt 0.090 0.540 0.861 1
Pt2 Pt 0.499 0.135 0.871 1
```

Most intense lines, 5° ≤ 2θ ≤ 70°, by intensity:
- (2 2 -1), 2θ 33.5, I = 100
- (1 1 2), 2θ 33.2, I = 98
- (0 3 1), 2θ 37.4, I = 74
- (1 1 -3), 2θ 36.7, I = 74
- (2 1 -2), 2θ 30.8, I = 31
- (1 2 1), 2θ 30.9, I = 25
- (2 2 0), 2θ 34.3, I = 25
- (3 0 0), 2θ 37.7, I = 25
- (2 2 1), 2θ 39.4, I = 24
- (0 4 1), 2θ 49.3, I = 15
- (1 3 -1), 2θ 38.1, I = 14
- (4 1 -5), 2θ 69.1, I = 12



# 3
This entry pairs a crystal structure of SmTm2Cd2 with its simulated powder diffraction line list. Radiation: Cu Kα, 1.54184 Å. Structure: a DFT-relaxed cell (PBE, Alexandria).
Neutral-atom scattering factors, no anomalous dispersion.

Structure:
```
data_SmTm2Cd2
_chemical_formula_sum 'Sm2 Tm4 Cd4'
_cell_length_a 3.694
_cell_length_b 5.358
_cell_length_c 13.860
_cell_angle_alpha 90.00
_cell_angle_beta 97.65
_cell_angle_gamma 90.00
_symmetry_space_group_name_H-M 'P 1 21/m 1'
_symmetry_Int_Tables_number 11
_symmetry_space_group_name_Hall '-P 2yb'
loop_
_atom_site_label
_atom_site_type_symbol
_atom_site_fract_x
_atom_site_fract_y
_atom_site_fract_z
_atom_site_occupancy
Sm1 Sm 0.150 0.250 0.298 1
Tm1 Tm 0.047 0.750 0.093 1
Tm2 Tm 0.236 0.750 0.473 1
Cd1 Cd 0.358 0.250 0.717 1
Cd2 Cd 0.452 0.750 0.903 1
```

Most intense lines, 5° ≤ 2θ ≤ 70°, by intensity:
- (1 1 2), 2θ 33.7, I = 100
- (0 2 0), 2θ 33.4, I = 27
- (0 0 5), 2θ 32.6, I = 23
- (1 3 2), 2θ 59.9, I = 19
- (0 2 5), 2θ 47.4, I = 16
- (1 1 7), 2θ 58.9, I = 12
- (2 2 -1), 2θ 60.9, I = 9
- (2 0 -1), 2θ 49.3, I = 9
- (2 0 4), 2θ 60.4, I = 8
- (0 1 3), 2θ 25.6, I = 4
- (0 1 5), 2θ 36.8, I = 3
- (0 1 8), 2θ 56.2, I = 3



# 4
This entry pairs a crystal structure of Ho2Tm4Mg with its simulated powder diffraction line list. Radiation: Cu Kα, 1.54184 Å. Structure: a DFT-relaxed cell (PBE, Alexandria).
Neutral-atom scattering factors, no anomalous dispersion.

Structure:
```
data_Ho2Tm4Mg
_chemical_formula_sum 'Ho4 Tm8 Mg2'
_cell_length_a 5.930
_cell_length_b 6.444
_cell_length_c 11.296
_cell_angle_alpha 90.00
_cell_angle_beta 105.15
_cell_angle_gamma 90.00
_symmetry_space_group_name_H-M 'P 1 21/m 1'
_symmetry_Int_Tables_number 11
_symmetry_space_group_name_Hall '-P 2yb'
loop_
_atom_site_label
_atom_site_type_symbol
_atom_site_fract_x
_atom_site_fract_y
_atom_site_fract_z
_atom_site_occupancy
Ho1 Ho 0.106 0.250 0.005 1
Ho2 Ho 0.222 0.250 0.577 1
Tm1 Tm 0.144 0.502 0.288 1
Tm2 Tm 0.352 0.750 0.560 1
Tm3 Tm 0.472 0.750 0.126 1
Mg1 Mg 0.343 0.750 0.834 1
```

Most intense lines, 5° ≤ 2θ ≤ 70°, by intensity:
- (1 0 -4), 2θ 32.5, I = 100
- (1 2 -2), 2θ 34.0, I = 68
- (2 1 -2), 2θ 34.3, I = 54
- (0 2 2), 2θ 32.3, I = 53
- (2 0 -1), 2θ 30.1, I = 34
- (1 1 2), 2θ 28.9, I = 27
- (1 4 -4), 2θ 67.3, I = 25
- (2 2 1), 2θ 44.7, I = 24
- (1 2 0), 2θ 31.9, I = 22
- (1 2 5), 2θ 56.7, I = 21
- (3 1 -4), 2θ 52.8, I = 16
- (2 3 -2), 2θ 53.3, I = 15



# 5
This entry pairs a crystal structure of CsCaAcI6 with its simulated powder diffraction line list. Radiation: Cu Kα, 1.54184 Å. Structure: a DFT-relaxed cell (PBE, Alexandria).
Neutral-atom scattering factors, no anomalous dispersion.

Structure:
```
data_CsCaAcI6
_chemical_formula_sum 'Cs4 Ca4 Ac4 I24'
_cell_length_a 11.515
_cell_length_b 11.891
_cell_length_c 16.852
_cell_angle_alpha 90.00
_cell_angle_beta 90.00
_cell_angle_gamma 90.00
_symmetry_space_group_name_H-M 'I m m a'
_symmetry_Int_Tables_number 74
_symmetry_space_group_name_Hall '-I 2b 2'
loop_
_atom_site_label
_atom_site_type_symbol
_atom_site_fract_x
_atom_site_fract_y
_atom_site_fract_z
_atom_site_occupancy
Cs1 Cs 0.000 0.250 0.024 1
Ca1 Ca 0.250 0.250 0.750 1
Ac1 Ac 0.000 0.000 0.500 1
I1 I 0.000 0.250 0.416 1
I2 I 0.000 0.250 0.805 1
I3 I 0.217 0.060 0.618 1
```

Most intense lines, 5° ≤ 2θ ≤ 70°, by intensity:
- (1 2 1), 2θ 17.6, I = 100
- (1 0 1), 2θ 9.3, I = 86
- (2 0 4), 2θ 26.2, I = 76
- (0 1 1), 2θ 9.1, I = 76
- (0 3 3), 2θ 27.5, I = 72
- (3 2 5), 2θ 38.6, I = 62
- (2 2 4), 2θ 30.3, I = 61
- (0 0 2), 2θ 10.5, I = 58
- (2 2 0), 2θ 21.5, I = 54
- (1 2 5), 2θ 31.5, I = 52
- (4 0 0), 2θ 31.1, I = 50
- (2 1 3), 2θ 23.4, I = 49



# 6
This entry pairs a crystal structure of HoErIr4 with its simulated powder diffraction line list. Radiation: Cu Kα, 1.54184 Å. Structure: a DFT-relaxed cell (PBE, Alexandria).
Neutral-atom scattering factors, no anomalous dispersion.

Structure:
```
data_HoErIr4
_chemical_formula_sum 'Ho4 Er4 Ir16'
_cell_length_a 7.558
_cell_length_b 7.558
_cell_length_c 7.558
_cell_angle_alpha 90.00
_cell_angle_beta 90.00
_cell_angle_gamma 90.00
_symmetry_space_group_name_H-M 'F -4 3 m'
_symmetry_Int_Tables_number 216
_symmetry_space_group_name_Hall 'F -4 2 3'
loop_
_atom_site_label
_atom_site_type_symbol
_atom_site_fract_x
_atom_site_fract_y
_atom_site_fract_z
_atom_site_occupancy
Ho1 Ho 0.000 0.000 0.000 1
Er1 Er 0.250 0.250 0.750 1
Ir1 Ir 0.125 0.125 0.375 1
```

Most intense lines, 5° ≤ 2θ ≤ 70°, by intensity:
- (3 1 1), 2θ 39.5, I = 100
- (2 2 2), 2θ 41.4, I = 45
- (5 1 1), 2θ 64.0, I = 33
- (2 2 0), 2θ 33.5, I = 23
- (1 1 1), 2θ 20.4, I = 10
- (4 2 2), 2θ 60.0, I = 9
- (4 0 0), 2θ 48.2, I = 7
- (3 3 1), 2θ 52.8, I = 3



# 7
This entry pairs a crystal structure of LiYVCo2 with its simulated powder diffraction line list. Radiation: Cu Kα, 1.54184 Å. Structure: a DFT-relaxed cell (PBE, Alexandria).
Neutral-atom scattering factors, no anomalous dispersion.

Structure:
```
data_LiYVCo2
_chemical_formula_sum 'Li1 Y1 V1 Co2'
_cell_length_a 4.277
_cell_length_b 4.277
_cell_length_c 4.246
_cell_angle_alpha 90.00
_cell_angle_beta 90.00
_cell_angle_gamma 90.00
_symmetry_space_group_name_H-M 'P 4/m m m'
_symmetry_Int_Tables_number 123
_symmetry_space_group_name_Hall '-P 4 2'
loop_
_atom_site_label
_atom_site_type_symbol
_atom_site_fract_x
_atom_site_fract_y
_atom_site_fract_z
_atom_site_occupancy
Li1 Li 0.000 0.000 0.000 1
Y1 Y 0.500 0.500 0.500 1
V1 V 0.000 0.000 0.500 1
Co1 Co 0.000 0.500 0.000 1
```

Most intense lines, 5° ≤ 2θ ≤ 70°, by intensity:
- (1 1 1), 2θ 36.5, I = 100
- (2 0 0), 2θ 42.3, I = 35
- (2 0 2), 2θ 61.6, I = 21
- (0 0 2), 2θ 42.6, I = 17
- (2 2 0), 2θ 61.3, I = 11
- (1 0 1), 2θ 29.6, I = 5
- (1 0 0), 2θ 20.8, I = 4
- (2 1 1), 2θ 52.5, I = 2
- (2 1 0), 2θ 47.5, I = 1
- (1 0 2), 2θ 47.8, I = 1
- (2 1 2), 2θ 65.7, I = 1
- (1 1 0), 2θ 29.5, I = 1



# 8
This entry pairs a crystal structure of Al2Ga3Br8 with its simulated powder diffraction line list. Radiation: Cu Kα, 1.54184 Å. Structure: a DFT-relaxed cell (PBE, Alexandria).
Neutral-atom scattering factors, no anomalous dispersion.

Structure:
```
data_Al2Ga3Br8
_chemical_formula_sum 'Al4 Ga6 Br16'
_cell_length_a 17.107
_cell_length_b 8.176
_cell_length_c 6.634
_cell_angle_alpha 90.00
_cell_angle_beta 112.10
_cell_angle_gamma 90.00
_symmetry_space_group_name_H-M 'C 1 2/m 1'
_symmetry_Int_Tables_number 12
_symmetry_space_group_name_Hall '-C 2y'
loop_
_atom_site_label
_atom_site_type_symbol
_atom_site_fract_x
_atom_site_fract_y
_atom_site_fract_z
_atom_site_occupancy
Al1 Al 0.171 0.000 0.224 1
Ga1 Ga 0.000 0.323 0.500 1
Ga2 Ga 0.000 0.500 0.000 1
Br1 Br 0.097 0.000 0.460 1
Br2 Br 0.135 0.234 0.009 1
Br3 Br 0.185 0.500 0.561 1
```

Most intense lines, 5° ≤ 2θ ≤ 70°, by intensity:
- (0 2 1), 2θ 26.2, I = 100
- (4 2 -1), 2θ 30.9, I = 95
- (0 0 2), 2θ 29.1, I = 77
- (4 2 -3), 2θ 47.1, I = 50
- (5 1 0), 2θ 30.2, I = 45
- (5 1 -2), 2θ 33.9, I = 42
- (4 2 1), 2θ 38.3, I = 39
- (1 3 1), 2θ 37.4, I = 30
- (1 1 1), 2θ 20.5, I = 22
- (0 4 0), 2θ 44.3, I = 21
- (4 0 -2), 2θ 29.3, I = 19
- (4 4 -2), 2θ 54.0, I = 19



# 9
This entry pairs a crystal structure of Cs3Ho3InTe8 with its simulated powder diffraction line list. Radiation: Cu Kα, 1.54184 Å. Structure: a DFT-relaxed cell (PBE, Alexandria).
Neutral-atom scattering factors, no anomalous dispersion.

Structure:
```
data_Cs3Ho3InTe8
_chemical_formula_sum 'Cs6 Ho6 In2 Te16'
_cell_length_a 15.297
_cell_length_b 8.809
_cell_length_c 10.551
_cell_angle_alpha 90.00
_cell_angle_beta 118.96
_cell_angle_gamma 90.00
_symmetry_space_group_name_H-M 'C 1 2/m 1'
_symmetry_Int_Tables_number 12
_symmetry_space_group_name_Hall '-C 2y'
loop_
_atom_site_label
_atom_site_type_symbol
_atom_site_fract_x
_atom_site_fract_y
_atom_site_fract_z
_atom_site_occupancy
Cs1 Cs 0.000 0.000 0.000 1
Cs2 Cs 0.250 0.250 0.000 1
Ho1 Ho 0.000 0.500 0.500 1
Ho2 Ho 0.250 0.250 0.500 1
In1 In 0.000 0.000 0.500 1
Te1 Te 0.021 0.250 0.313 1
Te2 Te 0.229 0.000 0.687 1
Te3 Te 0.230 0.500 0.690 1
```

Most intense lines, 5° ≤ 2θ ≤ 70°, by intensity:
- (4 0 0), 2θ 26.7, I = 100
- (0 4 0), 2θ 40.9, I = 36
- (0 0 1), 2θ 9.6, I = 34
- (4 0 -4), 2θ 35.0, I = 32
- (4 0 1), 2θ 32.6, I = 17
- (4 4 0), 2θ 49.6, I = 12
- (2 2 3), 2θ 43.0, I = 11
- (8 4 -4), 2θ 66.1, I = 10
- (4 4 -4), 2θ 54.9, I = 9
- (8 0 -4), 2θ 49.4, I = 8
- (2 2 4), 2θ 52.1, I = 7
- (6 2 -6), 2θ 57.8, I = 7



# 10
This entry pairs a crystal structure of Rb2Sn2Au3 with its simulated powder diffraction line list. Radiation: Cu Kα, 1.54184 Å. Structure: a DFT-relaxed cell (PBE, Alexandria).
Neutral-atom scattering factors, no anomalous dispersion.

Structure:
```
data_Rb2Sn2Au3
_chemical_formula_sum 'Rb4 Sn4 Au6'
_cell_length_a 7.562
_cell_length_b 7.689
_cell_length_c 9.187
_cell_angle_alpha 90.00
_cell_angle_beta 110.93
_cell_angle_gamma 90.00
_symmetry_space_group_name_H-M 'P 1 21/c 1'
_symmetry_Int_Tables_number 14
_symmetry_space_group_name_Hall '-P 2ybc'
loop_
_atom_site_label
_atom_site_type_symbol
_atom_site_fract_x
_atom_site_fract_y
_atom_site_fract_z
_atom_site_occupancy
Rb1 Rb 0.202 0.103 0.400 1
Sn1 Sn 0.350 0.611 0.544 1
Au1 Au 0.000 0.000 0.000 1
Au2 Au 0.438 0.668 0.283 1
```

Most intense lines, 5° ≤ 2θ ≤ 70°, by intensity:
- (2 1 -1), 2θ 26.3, I = 100
- (0 1 1), 2θ 15.5, I = 94
- (1 2 1), 2θ 30.0, I = 73
- (1 1 -3), 2θ 31.5, I = 56
- (1 0 0), 2θ 12.5, I = 54
- (2 1 0), 2θ 27.8, I = 53
- (0 2 1), 2θ 25.4, I = 44
- (1 3 -1), 2θ 37.6, I = 44
- (3 1 1), 2θ 45.0, I = 42
- (1 0 2), 2θ 27.9, I = 38
- (0 2 2), 2θ 31.2, I = 37
- (2 3 -3), 2θ 48.5, I = 36